No. 1
PmBC2: simulated powder diffraction line list (a wavelength of 1.5418 Å), based on a crystal structure in Alexandria, relaxed with PBE.
Intensities are scaled so that the largest is 100.

The 12 most intense peaks (10° ≤ 2θ ≤ 90°), sorted by position:
2θ/deg, intensity
24.1, 82.4
24.6, 82.2
34.4, 46.6
34.7, 100.0
42.7, 24.6
49.4, 18.8
49.7, 29.6
50.5, 31.0
55.7, 21.1
55.9, 18.5
67.3, 17.7
73.3, 19.2

Structural model:
a b c (Å): 7.379 3.691 4.145
angles (deg): 90.00 90.00 90.00
Space group Pmma (No. 51)
Symmetry-distinct sites (fractional):
Pm1 0.250 0.000 0.237 x2
B1 0.250 0.500 0.736 x2
C1 0.073 0.500 0.909 x4

No. 2
AcNd3: simulated powder diffraction line list (a wavelength of 1.5418 Å), based on a crystal structure in Alexandria, relaxed with PBE.
Intensities are scaled so that the largest is 100.

The 12 most intense peaks (10° ≤ 2θ ≤ 90°), sorted by position:
2θ/deg, intensity
18.2, 2.7
21.0, 1.5
29.9, 100.0
35.2, 1.8
42.8, 19.0
46.9, 0.8
48.2, 0.8
53.1, 40.6
62.2, 12.7
70.5, 17.5
78.4, 4.3
86.2, 21.0

Structural model:
a b c (Å): 8.447 8.447 8.447
angles (deg): 90.00 90.00 90.00
Space group Fm-3m (No. 225)
Symmetry-distinct sites (fractional):
Ac1 0.000 0.000 0.000 x4
Nd1 0.000 0.000 0.500 x4
Nd2 0.250 0.250 0.250 x8